This entry pairs a crystal structure of CoH12Cl2O6 with its calculated powder XRD pattern. Radiation: Cu Kα. Structure: a cell relaxed with GGA+U.
No peak broadening, texture or thermal motion is included.

Structure:
Cell lengths 6.3014, 6.3014, 6.8045 Å; angles 116.64, 116.64, 68.24 degrees
Atoms (fractional coordinates):
Co 0.0000 0.0000 0.0000
H 0.1817 0.1817 0.5462
H 0.1968 0.5810 0.7236
H 0.2168 0.6741 0.2219
H 0.2628 0.2628 0.8239
H 0.3259 0.7832 0.7781
H 0.4190 0.8032 0.2764
H 0.5810 0.1968 0.7236
H 0.6741 0.2168 0.2219
H 0.7372 0.7372 0.1761
H 0.7832 0.3259 0.7781
H 0.8032 0.4190 0.2764
H 0.8183 0.8183 0.4538
Cl 0.2758 0.2758 0.1452
Cl 0.7242 0.7242 0.8548
O 0.1677 0.7579 0.7505
O 0.2421 0.8323 0.2495
O 0.2814 0.2814 0.6950
O 0.7186 0.7186 0.3050
O 0.7579 0.1677 0.7505
O 0.8323 0.2421 0.2495

Largest 10 diffraction maxima, in order of falling intensity, 2θ = 10–90°:
2θ (°)	I (rel.)
15.49	100
18.18	98
29.91	94
16.10	74
33.16	54
47.43	43
36.83	42
25.19	39
29.71	39
32.54	34